[1]
Theoretical powder XRD pattern
Compound: InF
Radiation: CuKα
Structure: a PBE-relaxed structure
Kinematic intensities with the Lorentz-polarization factor, no thermal factor.

Principal peaks in the range 10° ≤ 2θ ≤ 90°, by angle:
index  Position (°2θ)  I_rel
0 1 1  26.41  54
1 1 1  27.68  80
3 0 1  28.80  100
0 0 2  29.56  60
3 1 0  33.17  68
6 0 0  50.54  52

Atomic structure:
Cell: 10.8313 4.0686 6.0445 Å, 90.00 90.00 90.00°
Space group Pmn2_1 (No. 31)
Symmetry-distinct sites (fractional):
In 0.0000 0.0812 0.0000 [2 per cell]
In 0.1547 0.6449 0.4748 [4 per cell]
F 0.0000 0.2358 0.6305 [2 per cell]
F 0.1632 0.7510 0.8607 [4 per cell]



[2]
Theoretical powder XRD pattern
Compound: InF
Radiation: CuKα
Structure: a PBE-relaxed structure
Kinematic intensities with the Lorentz-polarization factor, no thermal factor.

Principal peaks in the range 10° ≤ 2θ ≤ 90°, by angle:
index  Position (°2θ)  I_rel
0 2 1  24.32  100
0 0 2  27.68  45
2 0 0  29.99  60
2 2 1  38.97  58
2 0 2  41.26  31
2 2 3  56.74  29

Atomic structure:
Cell: 5.9599 8.8941 6.4446 Å, 90.00 90.00 90.00°
Space group Pbca (No. 61)
Symmetry-distinct sites (fractional):
In 0.0024 0.0896 0.2492 [8 per cell]
F 0.0008 0.1622 0.5870 [8 per cell]



[3]
Theoretical powder XRD pattern
Compound: K2In2F7
Radiation: CuKα
Structure: a PBE-relaxed structure
Kinematic intensities with the Lorentz-polarization factor, no thermal factor.

Principal peaks in the range 10° ≤ 2θ ≤ 90°, by angle:
index  Position (°2θ)  I_rel
0 0 1  14.54  84
0 2 0  21.44  23
0 2 1  26.00  95
2 0 1  28.30  100
2 2 2  44.33  77
2 4 1  52.87  24

Atomic structure:
Cell: 7.3721 8.2879 6.0939 Å, 90.00 90.00 90.00°
Space group Cmmm (No. 65)
Symmetry-distinct sites (fractional):
K 0.2407 0.0000 0.0000 [4 per cell]
In 0.0000 0.2752 0.5000 [4 per cell]
F 0.0000 0.0000 0.5000 [2 per cell]
F 0.0000 0.5000 0.2901 [4 per cell]
F 0.2500 0.2500 0.2803 [8 per cell]



[4]
Theoretical powder XRD pattern
Compound: K2InF5
Radiation: CuKα
Structure: a PBE-relaxed structure
Kinematic intensities with the Lorentz-polarization factor, no thermal factor.

Principal peaks in the range 10° ≤ 2θ ≤ 90°, by angle:
index  Position (°2θ)  I_rel
1 0 1  15.72  100
2 0 0  16.36  53
3 0 1  28.17  77
1 2 1  29.45  92
2 2 0  29.81  49
2 2 2  40.66  41

Atomic structure:
Cell: 10.8343 7.1960 6.6026 Å, 90.00 90.00 90.00°
Space group Pnma (No. 62)
Symmetry-distinct sites (fractional):
K 0.1694 0.0038 0.0461 [8 per cell]
In 0.0015 0.2500 0.5603 [4 per cell]
F 0.0167 0.2500 0.8837 [4 per cell]
F 0.0674 0.5407 0.6547 [8 per cell]
F 0.1668 0.2500 0.3932 [4 per cell]
F 0.1869 0.7500 0.3514 [4 per cell]



Which formula does entry 2 have?
InF